(1)
Theoretical X-ray diffraction stick pattern of Ba2TbS3 for Cu Kα (weighted mean of Kα1 and Kα2), from a PBE-relaxed structure.

Most intense lines, 10° ≤ 2θ ≤ 90°, in order of falling intensity:
29.3°, I = 100; 25.5°, I = 53; 42.5°, I = 36; 41.3°, I = 35; 24.6°, I = 20; 49.7°, I = 19

Atomic structure:
```
Ba2TbS3
1.0
4.2546 0.0000 0.0000
-2.1273 3.6846 0.0000
0.0000 0.0000 10.8735
Ba Tb S
2 1 3
Direct
0.3333 0.6667 0.1773
0.6667 0.3333 0.8227
0.0000 0.0000 0.5000
0.0000 0.0000 0.0000
0.3333 0.6667 0.6340
0.6667 0.3333 0.3660
```

***

(2)
Theoretical X-ray diffraction stick pattern of Cu17Hg for Cu Kα (weighted mean of Kα1 and Kα2), from a PBE-relaxed structure.

Most intense lines, 10° ≤ 2θ ≤ 90°, in order of falling intensity:
43.5°, I = 100; 50.7°, I = 54; 42.6°, I = 50; 43.5°, I = 40; 48.9°, I = 36; 74.6°, I = 25

Atomic structure:
```
Cu17Hg
1.0
4.4072 0.0000 0.0000
0.0000 5.0961 0.0000
-0.0107 0.0000 31.2734
Cu Hg
34 2
Direct
0.0000 0.0000 0.0000
0.0000 0.0002 0.2006
0.0000 0.9998 0.7994
0.0000 0.5000 0.0000
0.0000 0.4998 0.2006
0.0000 0.5002 0.7994
0.1658 0.2500 0.1340
0.1662 0.2500 0.7333
0.1658 0.2500 0.9332
0.1658 0.7500 0.9330
0.1671 0.7500 0.1336
0.3328 0.0002 0.8660
0.3328 0.4998 0.8660
0.3342 0.0003 0.0670
0.3342 0.4997 0.0670
0.3340 0.5032 0.2669
0.3340 0.9968 0.2669
0.4989 0.7500 0.0000
0.4991 0.7500 0.2006
0.4996 0.2500 0.2002
0.5004 0.7500 0.7998
0.5011 0.2500 0.0000
0.5009 0.2500 0.7994
0.6658 0.9997 0.9330
0.6660 0.0032 0.7331
0.6660 0.4968 0.7331
0.6658 0.5003 0.9330
0.6672 0.9998 0.1340
0.6672 0.5002 0.1340
0.8329 0.2500 0.8664
0.8342 0.2500 0.0670
0.8342 0.7500 0.0668
0.8338 0.7500 0.2667
0.8342 0.7500 0.8660
0.1661 0.7500 0.7032
0.8339 0.2500 0.2968
```

***

(3)
Theoretical X-ray diffraction stick pattern of Ni15Pb for Cu Kα (weighted mean of Kα1 and Kα2), from a PBE-relaxed structure.

Most intense lines, 10° ≤ 2θ ≤ 90°, in order of falling intensity:
44.7°, I = 100; 43.7°, I = 59; 51.0°, I = 33; 46.0°, I = 33; 52.6°, I = 30; 10.6°, I = 25

Atomic structure:
```
Ni15Pb
1.0
4.2827 0.0000 0.0000
0.0000 33.4957 0.0000
-1.3798 0.0000 4.0544
Ni Pb
30 2
Direct
0.0000 0.0000 0.0000
0.0000 0.0344 0.5000
0.0000 0.0713 0.0000
0.0000 0.1086 0.5000
0.0000 0.1449 0.0000
0.0000 0.1816 0.5000
0.0000 0.2183 0.0000
0.0000 0.2550 0.5000
0.0000 0.2917 0.0000
0.0000 0.3286 0.5000
0.0000 0.3651 0.0000
0.0000 0.4024 0.5000
0.0000 0.4387 0.0000
0.0000 0.4755 0.5000
0.0000 0.5124 0.0000
0.0000 0.5468 0.5000
0.5000 0.0344 0.0000
0.5000 0.0711 0.5000
0.5000 0.1086 0.0000
0.5000 0.1454 0.5000
0.5000 0.1816 0.0000
0.5000 0.2184 0.5000
0.5000 0.2549 0.0000
0.5000 0.2918 0.5000
0.5000 0.3284 0.0000
0.5000 0.3651 0.5000
0.5000 0.4018 0.0000
0.5000 0.4387 0.5000
0.5000 0.4752 0.0000
0.5000 0.5124 0.5000
0.5000 0.5686 0.0000
0.5000 0.9783 0.5000
```